[1]
For Sr11Pb9Au4, a cell relaxed with GGA-PBE gives the theoretical PXRD pattern in this record (Cu Kα (λ = 1.5418 Å)).
Intensities are scaled so that the largest is 100.

The 12 most intense peaks (5 to 70 degrees two-theta), by angle:
| two_theta | I (rel.) |
| --- | --- |
| 21.2 | 44 |
| 28.5 | 21 |
| 29.6 | 24 |
| 31.1 | 100 |
| 31.3 | 96 |
| 32.2 | 94 |
| 34.5 | 24 |
| 35.2 | 23 |
| 38.9 | 28 |
| 43.1 | 35 |
| 54.8 | 44 |
| 56.9 | 26 |

Cell: 14.2098 14.2098 4.1934 Å, 90.00 90.00 113.13°
Fractional positions:
1 Sr 0.0000 0.0000 0.0000
2 Sr 0.0750 0.4140 0.0000
3 Sr 0.1614 0.8386 0.0000
4 Sr 0.3030 0.3030 0.0000
5 Sr 0.3677 0.6323 0.0000
6 Sr 0.4140 0.0750 0.0000
7 Sr 0.5860 0.9250 0.0000
8 Sr 0.6323 0.3677 0.0000
9 Sr 0.6970 0.6970 0.0000
10 Sr 0.8386 0.1614 0.0000
11 Sr 0.9250 0.5860 0.0000
12 Pb 0.0734 0.2134 0.5000
13 Pb 0.1564 0.6347 0.5000
14 Pb 0.2134 0.0734 0.5000
15 Pb 0.3653 0.8436 0.5000
16 Pb 0.5000 0.5000 0.5000
17 Pb 0.6347 0.1564 0.5000
18 Pb 0.7866 0.9266 0.5000
19 Pb 0.8436 0.3653 0.5000
20 Pb 0.9266 0.7866 0.5000
21 Au 0.2531 0.4503 0.5000
22 Au 0.4503 0.2531 0.5000
23 Au 0.5497 0.7469 0.5000
24 Au 0.7469 0.5497 0.5000

[2]
For Ti5H4, a cell relaxed with GGA-PBE gives the theoretical PXRD pattern in this record (Cu Kα (λ = 1.5418 Å)).
Intensities are scaled so that the largest is 100.

The 6 most intense peaks (5 to 70 degrees two-theta), by angle:
| two_theta | I (rel.) |
| --- | --- |
| 37.3 | 54 |
| 38.1 | 100 |
| 53.7 | 17 |
| 56.3 | 8 |
| 67.7 | 32 |
| 69.4 | 15 |

Cell: 5.6387 5.6387 5.6387 Å, 94.82 94.82 146.28°
Fractional positions:
1 Ti 0.0000 0.0000 0.0000
2 Ti 0.1958 0.3988 0.5946
3 Ti 0.3988 0.8042 0.2030
4 Ti 0.6012 0.1958 0.7970
5 Ti 0.8042 0.6012 0.4054
6 H 0.0044 0.2454 0.2497
7 H 0.2454 0.9956 0.2410
8 H 0.7546 0.0044 0.7590
9 H 0.9956 0.7546 0.7503

[3]
For In3BW, a cell relaxed with GGA-PBE gives the theoretical PXRD pattern in this record (Cu Kα (λ = 1.5418 Å)).
Intensities are scaled so that the largest is 100.

The 11 most intense peaks (5 to 70 degrees two-theta), by angle:
| two_theta | I (rel.) |
| --- | --- |
| 18.9 | 3 |
| 26.9 | 5 |
| 33.1 | 100 |
| 38.4 | 53 |
| 43.2 | 2 |
| 47.5 | 2 |
| 55.5 | 36 |
| 59.1 | 1 |
| 62.7 | 1 |
| 66.1 | 40 |
| 69.5 | 12 |

Cell: 4.6869 4.6869 4.6869 Å, 90.00 90.00 90.00°
Fractional positions:
1 In 0.0000 0.0000 0.5000
2 In 0.0000 0.5000 0.0000
3 In 0.5000 0.0000 0.0000
4 B 0.0000 0.0000 0.0000
5 W 0.5000 0.5000 0.5000

[4]
For Zr2WCl, a cell relaxed with GGA-PBE gives the theoretical PXRD pattern in this record (Cu Kα (λ = 1.5418 Å)).
Intensities are scaled so that the largest is 100.

The 12 most intense peaks (5 to 70 degrees two-theta), by angle:
| two_theta | I (rel.) |
| --- | --- |
| 10.6 | 100 |
| 28.0 | 7 |
| 29.8 | 17 |
| 33.0 | 23 |
| 36.0 | 26 |
| 38.2 | 17 |
| 38.4 | 27 |
| 40.0 | 9 |
| 40.5 | 30 |
| 44.4 | 19 |
| 55.3 | 17 |
| 67.9 | 11 |

Cell: 3.3372 3.3372 8.3774 Å, 95.06 95.06 89.23°
Fractional positions:
1 Zr 0.0379 0.0379 0.1953
2 Zr 0.9621 0.9621 0.8047
3 W 0.5000 0.5000 0.0000
4 Cl 0.0000 0.0000 0.5000

Please write out number 2 again, unchanged.
For Ti5H4, a cell relaxed with GGA-PBE gives the theoretical PXRD pattern in this record (Cu Kα (λ = 1.5418 Å)).
Intensities are scaled so that the largest is 100.

The 6 most intense peaks (5 to 70 degrees two-theta), by angle:
| two_theta | I (rel.) |
| --- | --- |
| 37.3 | 54 |
| 38.1 | 100 |
| 53.7 | 17 |
| 56.3 | 8 |
| 67.7 | 32 |
| 69.4 | 15 |

Cell: 5.6387 5.6387 5.6387 Å, 94.82 94.82 146.28°
Fractional positions:
1 Ti 0.0000 0.0000 0.0000
2 Ti 0.1958 0.3988 0.5946
3 Ti 0.3988 0.8042 0.2030
4 Ti 0.6012 0.1958 0.7970
5 Ti 0.8042 0.6012 0.4054
6 H 0.0044 0.2454 0.2497
7 H 0.2454 0.9956 0.2410
8 H 0.7546 0.0044 0.7590
9 H 0.9956 0.7546 0.7503